No. 1
This entry pairs a crystal structure of K2GaGeSe4 with its theoretical X-ray diffraction stick pattern. Radiation: Cu Kα, 1.54184 Å. Structure: the PBE geometry in Alexandria.
Lines closer than 0.1° are merged.

Structural model:
a b c (Å): 13.573 11.983 7.782
angles (deg): 83.87 61.38 34.75
Fractional coordinates of all 16 atoms:
1 K 0.058 0.058 0.692
2 K 0.308 0.308 0.942
3 K 0.692 0.692 0.058
4 K 0.942 0.942 0.308
5 Ga 0.125 0.125 0.125
6 Ga 0.875 0.875 0.875
7 Ge 0.375 0.375 0.375
8 Ge 0.625 0.625 0.625
9 Se 0.046 0.319 0.403
10 Se 0.267 0.597 0.681
11 Se 0.319 0.046 0.733
12 Se 0.403 0.733 0.046
13 Se 0.597 0.267 0.954
14 Se 0.681 0.954 0.267
15 Se 0.733 0.403 0.319
16 Se 0.954 0.681 0.597

Top 12 peaks for 2θ = 5–70°, most intense first:
two_theta  I (rel.)
26.19  100
14.62  90
30.49  72
36.81  49
15.33  46
48.82  45
38.94  45
47.99  37
40.21  25
30.96  24
44.89  24
26.30  20

---

No. 2
This entry pairs a crystal structure of La3Ga3Ge with its theoretical X-ray diffraction stick pattern. Radiation: Cu Kα, 1.54184 Å. Structure: the PBE geometry in Alexandria.
Lines closer than 0.1° are merged.

Structural model:
a b c (Å): 4.242 4.498 19.192
angles (deg): 90.00 90.00 90.00
Fractional coordinates of all 14 atoms:
1 La 0.000 0.000 0.000
2 La 0.000 0.000 0.368
3 La 0.000 0.500 0.682
4 La 0.500 0.000 0.182
5 La 0.500 0.500 0.500
6 La 0.500 0.500 0.868
7 Ga 0.000 0.000 0.541
8 Ga 0.000 0.000 0.824
9 Ga 0.000 0.500 0.251
10 Ga 0.500 0.000 0.751
11 Ga 0.500 0.500 0.041
12 Ga 0.500 0.500 0.324
13 Ge 0.000 0.500 0.119
14 Ge 0.500 0.000 0.619

Top 12 peaks for 2θ = 5–70°, most intense first:
two_theta  I (rel.)
30.43  100
30.62  57
39.12  30
40.09  29
34.56  28
42.63  24
53.39  24
57.26  19
25.19  18
40.62  17
59.95  17
27.89  16

---

No. 3
This entry pairs a crystal structure of La3GaGe5O16 with its theoretical X-ray diffraction stick pattern. Radiation: Cu Kα, 1.54184 Å. Structure: the PBE geometry in Alexandria.
Lines closer than 0.1° are merged.

Structural model:
a b c (Å): 4.888 8.243 15.807
angles (deg): 90.82 94.23 90.05
Fractional coordinates of all 50 atoms:
1 La 0.020 0.139 0.250
2 La 0.020 0.738 0.036
3 La 0.027 0.734 0.457
4 La 0.973 0.266 0.543
5 La 0.980 0.262 0.964
6 La 0.980 0.861 0.750
7 Ga 0.493 0.810 0.257
8 Ga 0.507 0.190 0.743
9 Ge 0.008 0.571 0.244
10 Ge 0.450 0.564 0.639
11 Ge 0.479 0.058 0.089
12 Ge 0.479 0.440 0.126
13 Ge 0.486 0.941 0.586
14 Ge 0.514 0.059 0.414
15 Ge 0.521 0.560 0.874
16 Ge 0.521 0.942 0.911
17 Ge 0.550 0.436 0.361
18 Ge 0.992 0.429 0.756
19 O 0.119 0.067 0.095
20 O 0.133 0.909 0.595
21 O 0.192 0.281 0.692
22 O 0.207 0.723 0.187
23 O 0.208 0.603 0.718
24 O 0.236 0.396 0.204
25 O 0.240 0.521 0.546
26 O 0.252 0.479 0.038
27 O 0.255 0.414 0.853
28 O 0.283 0.584 0.342
29 O 0.308 0.938 0.337
30 O 0.334 0.746 0.891
31 O 0.368 0.248 0.361
32 O 0.395 0.005 0.803
33 O 0.441 0.143 0.519
34 O 0.455 0.134 0.966
35 O 0.545 0.866 0.034
36 O 0.559 0.857 0.481
37 O 0.605 0.995 0.197
38 O 0.632 0.752 0.639
39 O 0.666 0.254 0.109
40 O 0.692 0.062 0.663
41 O 0.717 0.416 0.658
42 O 0.745 0.586 0.147
43 O 0.748 0.521 0.962
44 O 0.760 0.479 0.454
45 O 0.764 0.604 0.796
46 O 0.792 0.397 0.282
47 O 0.793 0.277 0.813
48 O 0.808 0.719 0.308
49 O 0.867 0.091 0.405
50 O 0.881 0.933 0.905

Top 12 peaks for 2θ = 5–70°, most intense first:
two_theta  I (rel.)
30.19  100
28.36  98
28.05  90
36.88  80
31.21  68
26.42  67
28.67  60
28.16  56
26.24  53
27.93  46
30.95  35
34.12  25

---

No. 4
This entry pairs a crystal structure of LaYGaGe with its theoretical X-ray diffraction stick pattern. Radiation: Cu Kα, 1.54184 Å. Structure: the PBE geometry in Alexandria.
Lines closer than 0.1° are merged.

Structural model:
a b c (Å): 4.094 4.449 11.232
angles (deg): 90.00 90.00 90.00
Fractional coordinates of all 8 atoms:
1 La 0.000 0.000 0.000
2 La 0.000 0.500 0.500
3 Y 0.500 0.000 0.279
4 Y 0.500 0.500 0.779
5 Ga 0.500 0.000 0.571
6 Ga 0.500 0.500 0.071
7 Ge 0.000 0.000 0.721
8 Ge 0.000 0.500 0.221

Top 12 peaks for 2θ = 5–70°, most intense first:
two_theta  I (rel.)
30.73  100
38.35  61
31.22  40
40.56  28
31.87  25
38.89  23
44.24  22
61.57  16
55.14  16
61.43  15
57.45  15
26.95  13

---

No. 5
This entry pairs a crystal structure of LaZn2GaGe with its theoretical X-ray diffraction stick pattern. Radiation: Cu Kα, 1.54184 Å. Structure: the PBE geometry in Alexandria.
Lines closer than 0.1° are merged.

Structural model:
a b c (Å): 4.335 4.362 10.599
angles (deg): 90.00 90.00 90.00
Fractional coordinates of all 10 atoms:
1 La 0.000 0.000 0.000
2 La 0.500 0.500 0.500
3 Zn 0.000 0.000 0.372
4 Zn 0.000 0.500 0.250
5 Zn 0.500 0.000 0.750
6 Zn 0.500 0.500 0.872
7 Ga 0.000 0.500 0.749
8 Ga 0.500 0.000 0.249
9 Ge 0.000 0.000 0.605
10 Ge 0.500 0.500 0.105

Top 12 peaks for 2θ = 5–70°, most intense first:
two_theta  I (rel.)
33.70  100
32.66  60
41.40  29
41.67  29
60.19  19
29.04  16
47.70  15
53.73  14
53.89  14
47.76  14
65.17  12
60.44  12

---

No. 6
This entry pairs a crystal structure of Li2Ga4Ge with its theoretical X-ray diffraction stick pattern. Radiation: Cu Kα, 1.54184 Å. Structure: the PBE geometry in Alexandria.
Lines closer than 0.1° are merged.

Structural model:
a b c (Å): 9.038 9.038 9.038
angles (deg): 60.00 60.00 60.00
Fractional coordinates of all 28 atoms:
1 Li 0.143 0.786 0.786
2 Li 0.214 0.214 0.214
3 Li 0.214 0.214 0.857
4 Li 0.214 0.857 0.214
5 Li 0.786 0.143 0.786
6 Li 0.786 0.786 0.143
7 Li 0.786 0.786 0.786
8 Li 0.857 0.214 0.214
9 Ga 0.000 0.000 0.000
10 Ga 0.000 0.000 0.500
11 Ga 0.000 0.500 0.000
12 Ga 0.139 0.139 0.611
13 Ga 0.139 0.611 0.139
14 Ga 0.139 0.611 0.611
15 Ga 0.389 0.389 0.861
16 Ga 0.389 0.861 0.389
17 Ga 0.389 0.861 0.861
18 Ga 0.500 0.000 0.000
19 Ga 0.611 0.139 0.139
20 Ga 0.611 0.139 0.611
21 Ga 0.611 0.611 0.139
22 Ga 0.861 0.389 0.389
23 Ga 0.861 0.389 0.861
24 Ga 0.861 0.861 0.389
25 Ge 0.000 0.500 0.500
26 Ge 0.500 0.000 0.500
27 Ge 0.500 0.500 0.000
28 Ge 0.500 0.500 0.500

Top 12 peaks for 2θ = 5–70°, most intense first:
two_theta  I (rel.)
39.90  100
24.12  38
19.64  22
47.16  20
57.70  15
34.37  14
63.44  8
53.66  5
44.85  5
36.53  4
61.56  4
27.92  4

---

No. 7
This entry pairs a crystal structure of Li4GaGe with its theoretical X-ray diffraction stick pattern. Radiation: Cu Kα, 1.54184 Å. Structure: the PBE geometry in Alexandria.
Lines closer than 0.1° are merged.

Structural model:
a b c (Å): 7.666 4.418 5.358
angles (deg): 90.00 90.03 90.00
Fractional coordinates of all 12 atoms:
1 Li 0.167 0.000 0.236
2 Li 0.167 0.000 0.752
3 Li 0.333 0.500 0.248
4 Li 0.333 0.500 0.764
5 Li 0.667 0.500 0.236
6 Li 0.667 0.500 0.752
7 Li 0.833 0.000 0.248
8 Li 0.833 0.000 0.764
9 Ga 0.000 0.500 0.500
10 Ga 0.500 0.000 0.500
11 Ge 0.000 0.500 0.000
12 Ge 0.500 0.000 0.000

Top 9 peaks for 2θ = 5–70°, most intense first:
two_theta  I (rel.)
23.23  100
41.12  58
40.81  34
59.33  19
53.76  17
47.49  15
33.45  11
64.34  8
64.43  4

---

No. 8
This entry pairs a crystal structure of LiGaGeMo2 with its theoretical X-ray diffraction stick pattern. Radiation: Cu Kα, 1.54184 Å. Structure: the PBE geometry in Alexandria.
Lines closer than 0.1° are merged.

Structural model:
a b c (Å): 4.688 4.688 4.065
angles (deg): 90.00 90.00 90.00
Fractional coordinates of all 5 atoms:
1 Li 0.000 0.000 0.000
2 Ga 0.000 0.000 0.500
3 Ge 0.500 0.500 0.000
4 Mo 0.000 0.500 0.500
5 Mo 0.500 0.000 0.500

Top 12 peaks for 2θ = 5–70°, most intense first:
two_theta  I (rel.)
38.41  100
34.93  88
29.08  72
44.61  70
60.28  66
21.86  64
48.88  33
55.44  33
67.22  25
63.82  7
26.90  4
69.35  2